Calculated powder diffraction line list
Compound: PmH8Rh2Pb
Radiation: Cu Kα
Structure: DFT lattice parameters and positions (GGA-PBE)

Structure:
a b c (Å): 4.2100 4.2100 25.8069
angles (deg): 90.00 90.00 120.00
Space group R-3m (No. 166, hexagonal axes)
Asymmetric unit:
Pm 0.0000 0.0000 0.0000 x3
H 0.0000 0.0000 0.1857 x6
H 0.0368 0.5184 0.0467 x18
Rh 0.0000 0.0000 0.2517 x6
Pb 0.0000 0.0000 0.5000 x3

Largest 10 diffraction maxima, low angle first, 2θ from 5° to 70°:
| d (Å) | Rel. int. |
| --- | --- |
| 3.509 | 7 |
| 3.174 | 100 |
| 2.416 | 48 |
| 2.151 | 11 |
| 2.105 | 34 |
| 1.754 | 18 |
| 1.587 | 13 |
| 1.504 | 22 |
| 1.475 | 10 |
| 1.348 | 15 |